Simulated XRD peak list of MgSi2 for Cu Kα, from a DFT-relaxed cell (PBE, the Materials Project).

Crystal structure
```
data_MgSi2
_cell_length_a 9.793
_cell_length_b 3.469
_cell_length_c 12.419
_cell_angle_alpha 90.00
_cell_angle_beta 105.36
_cell_angle_gamma 90.00
_symmetry_space_group_name_H-M 'C 1 m 1'
_symmetry_Int_Tables_number 8
loop_
_symmetry_equiv_pos_as_xyz
'x,y,z'
'x,-y,z'
'x+1/2,y+1/2,z'
'x+1/2,-y+1/2,z'
loop_
_atom_site_label
_atom_site_type_symbol
_atom_site_fract_x
_atom_site_fract_y
_atom_site_fract_z
Mg1 Mg 0.000 0.000 0.000
Mg2 Mg 0.000 0.000 0.243
Mg3 Mg 0.329 0.000 0.811
Mg4 Mg 0.489 0.500 0.484
Si1 Si 0.009 0.000 0.728
Si2 Si 0.146 0.500 0.652
Si3 Si 0.148 0.500 0.886
Si4 Si 0.201 0.500 0.438
Si5 Si 0.202 0.500 0.161
Si6 Si 0.286 0.000 0.040
Si7 Si 0.297 0.000 0.313
Si8 Si 0.320 0.000 0.589
```

Main lines, most intense first (2θ from 10° to 90°):
| 2θ (°) | Rel. int. | (hkl) |
| --- | --- | --- |
| 39.0 | 100 | 1 1 -4 |
| 38.6 | 94 | 3 1 0 |
| 42.0 | 37 | 4 0 -4 |
| 39.7 | 34 | 2 0 4 |
| 52.8 | 22 | 0 2 0 |
| 69.6 | 16 | 4 2 -4 |
| 68.0 | 14 | 2 2 4 |
| 74.9 | 11 | 5 1 -8 |
| 59.6 | 10 | 2 0 -8 |
| 37.2 | 8 | 1 1 3 |